Theoretical powder X-ray diffraction pattern
Compound: Mg2In3MoS8
Radiation: CuKα
Structure: a structure optimized by DFT (PBE)

Atomic structure:
```
Mg2In3MoS8
1.0
3.811 2.200 6.246
-3.811 2.200 6.246
0.000 -4.401 6.246
Mg In Mo S
2 3 1 8
Cartesian
0.000 0.000 2.358
0.000 0.000 16.381
-1.906 -1.100 6.246
-1.906 1.100 12.493
0.000 2.200 6.246
0.000 0.000 9.370
0.000 0.000 4.819
0.000 -2.016 7.852
-1.746 1.008 7.852
-1.746 -1.008 10.888
1.746 1.008 7.852
1.746 -1.008 10.888
0.000 2.016 10.888
0.000 0.000 13.921
```

Peak list (10 most intense, 2θ = 10–90°, sorted by position)
- 14.2°, rel. 100
- 27.4°, rel. 95
- 28.7°, rel. 14
- 33.2°, rel. 95
- 43.6°, rel. 32
- 47.6°, rel. 43
- 47.7°, rel. 42
- 59.4°, rel. 15
- 79.3°, rel. 13
- 88.9°, rel. 20